(1)
Theoretical powder XRD pattern of NaInHg6 for Cu Kα (weighted mean of Kα1 and Kα2), from a cell relaxed with PBE.
No peak broadening, texture or thermal motion is included.

Peak list (10 most intense, 10° ≤ 2θ ≤ 80°, in order of rising 2θ)
2θ = 33.09°, I 100.0; 2θ = 36.10°, I 19.7; 2θ = 38.68°, I 16.5; 2θ = 40.29°, I 14.8; 2θ = 53.94°, I 12.6; 2θ = 55.20°, I 11.7; 2θ = 63.01°, I 15.5; 2θ = 66.48°, I 13.8; 2θ = 68.69°, I 12.4; 2θ = 69.43°, I 11.9

Cell and atoms:
Cell lengths 9.3113, 9.9523, 4.4768 Å; angles 90.00, 90.00, 90.00 degrees
Space group Cmmm (No. 65)
Inequivalent atoms, fractional coordinates:
Na  0.0000  0.0000  0.0000 x2
In  0.0000  0.5000  0.0000 x2
Hg  0.0000  0.2415  0.5000 x4
Hg  0.2500  0.0000  0.5000 x4
Hg  0.2500  0.2500  0.0000 x4

=====

(2)
Theoretical powder XRD pattern of HgPH6CBr3 for Cu Kα (weighted mean of Kα1 and Kα2), from a cell relaxed with PBE.
No peak broadening, texture or thermal motion is included.

Peak list (10 most intense, 10° ≤ 2θ ≤ 80°, in order of rising 2θ)
2θ = 11.49°, I 68.5; 2θ = 11.96°, I 100.0; 2θ = 15.84°, I 12.7; 2θ = 20.25°, I 15.9; 2θ = 23.07°, I 18.8; 2θ = 24.05°, I 18.1; 2θ = 24.52°, I 44.6; 2θ = 29.52°, I 15.5; 2θ = 34.32°, I 12.9; 2θ = 41.69°, I 13.3

Cell and atoms:
Cell lengths 7.7705, 8.4404, 15.5331 Å; angles 89.99, 82.49, 88.27 degrees
Space group P1 (No. 1)
Inequivalent atoms, fractional coordinates:
Hg  0.0000  0.0000  0.0000 x1
Hg  0.1677  0.3527  0.5678 x1
Hg  0.4919  0.8518  0.0535 x1
Hg  0.6735  0.5150  0.5093 x1
P  0.3298  0.9744  0.3224 x1
P  0.3709  0.4469  0.8243 x1
P  0.7268  0.9487  0.6355 x1
P  0.8718  0.4293  0.1308 x1
H  0.0397  0.3611  0.1116 x1
H  0.1208  0.8311  0.4163 x1
H  0.2013  0.9969  0.4702 x1
H  0.2053  0.0587  0.2810 x1
H  0.2252  0.5510  0.8364 x1
H  0.3320  0.2840  0.9506 x1
H  0.3332  0.8194  0.4509 x1
H  0.3346  0.3236  0.7676 x1
H  0.3933  0.8476  0.2664 x1
H  0.4273  0.4685  0.9721 x1
H  0.4675  0.0745  0.3325 x1
H  0.5092  0.5322  0.7813 x1
H  0.5577  0.3148  0.9139 x1
H  0.5880  0.0761  0.7638 x1
H  0.5974  0.8357  0.6332 x1
H  0.7027  0.0677  0.5730 x1
H  0.7106  0.5591  0.2528 x1
H  0.7504  0.9339  0.7879 x1
H  0.7512  0.3109  0.1205 x1
H  0.8152  0.1221  0.7427 x1
H  0.8540  0.5495  0.0690 x1
H  0.8624  0.4129  0.2853 x1
H  0.8880  0.8706  0.6108 x1
H  0.9373  0.6011  0.2434 x1
C  0.2367  0.8975  0.4251 x1
C  0.4272  0.3711  0.9251 x1
C  0.7199  0.0285  0.7431 x1
C  0.8430  0.5082  0.2390 x1
Br  0.1680  0.3697  0.4028 x1
Br  0.2375  0.1141  0.6648 x1
Br  0.3049  0.8730  0.9119 x1
Br  0.3582  0.6073  0.6171 x1
Br  0.4123  0.6025  0.1482 x1
Br  0.4763  0.1327  0.1229 x1
Br  0.6618  0.2358  0.4441 x1
Br  0.7390  0.7863  0.4352 x1
Br  0.7938  0.7637  0.9457 x1
Br  0.8487  0.4806  0.6544 x1
Br  0.9478  0.2724  0.9240 x1
Br  0.9625  0.9801  0.1682 x1

=====

(3)
Theoretical powder XRD pattern of Ac3U2P2N5 for Cu Kα (weighted mean of Kα1 and Kα2), from a cell relaxed with PBE.
No peak broadening, texture or thermal motion is included.

Peak list (10 most intense, 10° ≤ 2θ ≤ 80°, in order of rising 2θ)
2θ = 27.34°, I 100.0; 2θ = 29.03°, I 74.5; 2θ = 32.71°, I 32.8; 2θ = 41.51°, I 37.5; 2θ = 47.24°, I 12.4; 2θ = 50.43°, I 39.7; 2θ = 53.63°, I 16.6; 2θ = 53.83°, I 16.5; 2θ = 62.14°, I 13.2; 2θ = 68.15°, I 28.1

Cell and atoms:
Cell lengths 4.3500, 4.3500, 24.6643 Å; angles 90.00, 90.00, 90.00 degrees
Space group I4/mmm (No. 139)
Inequivalent atoms, fractional coordinates:
Ac  0.0000  0.0000  0.0000 x2
Ac  0.0000  0.0000  0.1771 x4
U  0.0000  0.0000  0.4134 x4
P  0.0000  0.0000  0.3019 x4
N  0.0000  0.0000  0.5000 x2
N  0.0000  0.5000  0.0848 x8

=====

(4)
Theoretical powder XRD pattern of Pm3AsS for Cu Kα (weighted mean of Kα1 and Kα2), from a cell relaxed with PBE.
No peak broadening, texture or thermal motion is included.

Peak list (10 most intense, 10° ≤ 2θ ≤ 80°, in order of rising 2θ)
2θ = 23.93°, I 20.1; 2θ = 26.43°, I 69.0; 2θ = 35.95°, I 100.0; 2θ = 46.65°, I 28.2; 2θ = 53.10°, I 14.2; 2θ = 54.41°, I 9.4; 2θ = 56.52°, I 16.9; 2θ = 60.27°, I 22.0; 2θ = 69.97°, I 16.7; 2θ = 79.49°, I 19.7

Cell and atoms:
Cell lengths 6.7446, 6.7446, 3.7185 Å; angles 90.00, 90.00, 120.00 degrees
Space group P-6 (No. 174)
Inequivalent atoms, fractional coordinates:
Pm  0.0068  0.3368  0.0000 x3
As  0.6667  0.3333  0.5000 x1
S  0.3333  0.6667  0.5000 x1

=====

(5)
Theoretical powder XRD pattern of LiCoAg for Cu Kα (weighted mean of Kα1 and Kα2), from a cell relaxed with PBE.
No peak broadening, texture or thermal motion is included.

Peak list (10 most intense, 10° ≤ 2θ ≤ 80°, in order of rising 2θ)
2θ = 21.87°, I 69.6; 2θ = 24.84°, I 95.6; 2θ = 35.75°, I 36.8; 2θ = 40.22°, I 100.0; 2θ = 40.97°, I 94.7; 2θ = 45.42°, I 34.7; 2θ = 46.92°, I 35.2; 2θ = 48.12°, I 58.1; 2θ = 59.11°, I 15.9; 2θ = 68.31°, I 38.0

Cell and atoms:
Cell lengths 2.6405, 3.9939, 8.1287 Å; angles 90.00, 90.00, 90.00 degrees
Space group Imm2 (No. 44)
Inequivalent atoms, fractional coordinates:
Li  0.0000  0.0000  0.0000 x2
Co  0.0000  0.0000  0.3340 x2
Ag  0.0000  0.0000  0.6701 x2

=====

(6)
Theoretical powder XRD pattern of Pm6As2S3 for Cu Kα (weighted mean of Kα1 and Kα2), from a cell relaxed with PBE.
No peak broadening, texture or thermal motion is included.

Peak list (10 most intense, 10° ≤ 2θ ≤ 80°, in order of rising 2θ)
2θ = 25.68°, I 17.9; 2θ = 28.76°, I 100.0; 2θ = 36.62°, I 42.3; 2θ = 45.24°, I 31.0; 2θ = 47.22°, I 26.0; 2θ = 52.76°, I 19.6; 2θ = 54.49°, I 16.8; 2θ = 59.56°, I 10.9; 2θ = 72.00°, I 15.8; 2θ = 73.46°, I 20.7

Cell and atoms:
Cell lengths 6.9431, 6.9431, 6.9379 Å; angles 90.00, 90.00, 120.00 degrees
Space group P-31m (No. 162)
Inequivalent atoms, fractional coordinates:
Pm  0.0000  0.3311  0.2515 x6
As  0.3333  0.6667  0.0000 x2
S  0.0000  0.0000  0.0000 x1
S  0.3333  0.6667  0.5000 x2

=====

(7)
Theoretical powder XRD pattern of TePd3Br for Cu Kα (weighted mean of Kα1 and Kα2), from a cell relaxed with PBE.
No peak broadening, texture or thermal motion is included.

Peak list (10 most intense, 10° ≤ 2θ ≤ 80°, in order of rising 2θ)
2θ = 12.65°, I 27.7; 2θ = 12.84°, I 44.9; 2θ = 25.48°, I 50.6; 2θ = 32.85°, I 44.4; 2θ = 35.65°, I 79.6; 2θ = 41.62°, I 100.0; 2θ = 41.74°, I 52.0; 2θ = 42.47°, I 27.4; 2θ = 43.63°, I 39.0; 2θ = 46.50°, I 32.5

Cell and atoms:
Cell lengths 4.4088, 6.9780, 7.0612 Å; angles 92.47, 96.82, 98.26 degrees
Space group P-1 (No. 2)
Inequivalent atoms, fractional coordinates:
Te  0.2072  0.2395  0.0913 x2
Pd  0.2544  0.1157  0.4372 x2
Pd  0.2965  0.6266  0.0689 x2
Pd  0.3140  0.9864  0.8219 x2
Br  0.2015  0.6997  0.4317 x2

=====

(8)
Theoretical powder XRD pattern of CuAgTeN2 for Cu Kα (weighted mean of Kα1 and Kα2), from a cell relaxed with PBE.
No peak broadening, texture or thermal motion is included.

Peak list (10 most intense, 10° ≤ 2θ ≤ 80°, in order of rising 2θ)
2θ = 15.33°, I 72.7; 2θ = 22.71°, I 20.7; 2θ = 30.93°, I 81.4; 2θ = 32.34°, I 100.0; 2θ = 35.97°, I 72.7; 2θ = 45.36°, I 78.3; 2θ = 46.39°, I 50.3; 2θ = 56.80°, I 53.0; 2θ = 73.98°, I 17.9; 2θ = 76.28°, I 21.1

Cell and atoms:
Cell lengths 3.9147, 3.9147, 5.7814 Å; angles 90.00, 90.00, 90.00 degrees
Space group P4/mmm (No. 123)
Inequivalent atoms, fractional coordinates:
Cu  0.0000  0.0000  0.0000 x1
Ag  0.5000  0.5000  0.5000 x1
Te  0.0000  0.0000  0.5000 x1
N  0.0000  0.5000  0.0000 x2